Record 1
# AcBeGaO4
Computed XRD peak list, copper Kα. Input: a crystal structure in Alexandria, relaxed with GGA-PBE.
Lines closer than 0.1° are merged.

```
data_AcBeGaO4
_space_group_name_H-M_alt 'I -4'
_space_group_IT_number 82
_space_group_name_Hall 'I -4'
_cell_length_a 5.2644
_cell_length_b 5.2644
_cell_length_c 7.1265
_cell_angle_alpha 90.00
_cell_angle_beta 90.00
_cell_angle_gamma 90.00
loop_
_atom_site_label
_atom_site_fract_x
_atom_site_fract_y
_atom_site_fract_z
_atom_site_occupancy
Ac1 0.0000 0.0000 0.0000 1
Be1 0.0000 0.5000 0.7500 1
Ga1 0.0000 0.0000 0.5000 1
O1 0.1412 0.7400 0.6429 1
```

Principal peaks in the range 2θ = 10–90°, by angle:
d = 4.234 Å, rel. 61.3, (1 0 1)
d = 3.722 Å, rel. 100.0, (1 1 0)
d = 3.563 Å, rel. 40.8, (0 0 2)
d = 2.632 Å, rel. 34.2, (2 0 0)
d = 2.574 Å, rel. 88.7, (1 1 2)
d = 2.235 Å, rel. 34.0, (1 2 1)
d = 2.117 Å, rel. 48.4, (2 0 2)
d = 1.665 Å, rel. 22.6, (3 1 0)
d = 1.650 Å, rel. 20.7, (2 2 2)
d = 1.508 Å, rel. 33.6, (1 3 2)

=====

Record 2
# AcGdBeIr
Computed XRD peak list, copper Kα. Input: a crystal structure in Alexandria, relaxed with GGA-PBE.
Lines closer than 0.1° are merged.

```
data_AcGdBeIr
_space_group_name_H-M_alt 'F -4 3 m'
_space_group_IT_number 216
_space_group_name_Hall 'F -4 2 3'
_cell_length_a 7.2155
_cell_length_b 7.2155
_cell_length_c 7.2155
_cell_angle_alpha 90.00
_cell_angle_beta 90.00
_cell_angle_gamma 90.00
loop_
_atom_site_label
_atom_site_fract_x
_atom_site_fract_y
_atom_site_fract_z
_atom_site_occupancy
Ac1 0.0000 0.0000 0.0000 1
Gd1 0.0000 0.0000 0.5000 1
Be1 0.2500 0.2500 0.7500 1
Ir1 0.2500 0.2500 0.2500 1
```

Principal peaks in the range 2θ = 10–90°, by angle:
d = 4.166 Å, rel. 26.5, (1 1 1)
d = 3.608 Å, rel. 12.2, (2 0 0)
d = 2.551 Å, rel. 100.0, (2 2 0)
d = 2.176 Å, rel. 14.9, (3 1 1)
d = 1.804 Å, rel. 18.1, (4 0 0)
d = 1.655 Å, rel. 6.5, (3 3 1)
d = 1.613 Å, rel. 5.1, (4 2 0)
d = 1.473 Å, rel. 37.5, (4 2 2)
d = 1.276 Å, rel. 11.7, (4 4 0)
d = 1.141 Å, rel. 16.9, (6 2 0)

=====

Record 3
# AcBe2H7
Computed XRD peak list, copper Kα. Input: a crystal structure in Alexandria, relaxed with GGA-PBE.
Lines closer than 0.1° are merged.

```
data_AcBe2H7
_space_group_name_H-M_alt 'C m m m'
_space_group_IT_number 65
_space_group_name_Hall '-C 2 2'
_cell_length_a 4.6160
_cell_length_b 11.9611
_cell_length_c 3.5049
_cell_angle_alpha 90.00
_cell_angle_beta 90.00
_cell_angle_gamma 90.00
loop_
_atom_site_label
_atom_site_fract_x
_atom_site_fract_y
_atom_site_fract_z
_atom_site_occupancy
Ac1 0.0000 0.0000 0.0000 1
Be1 0.0000 0.3818 0.5000 1
H1 0.0000 0.3905 0.0000 1
H2 0.0000 0.5000 0.5000 1
H3 0.1995 0.1409 0.5000 1
```

Principal peaks in the range 2θ = 10–90°, by angle:
d = 5.981 Å, rel. 100.0, (0 2 0)
d = 4.306 Å, rel. 80.5, (1 1 0)
d = 3.505 Å, rel. 23.4, (0 0 1)
d = 3.021 Å, rel. 79.0, (1 3 0)
d = 2.718 Å, rel. 62.4, (1 1 1)
d = 2.287 Å, rel. 35.3, (1 3 1)
d = 2.275 Å, rel. 20.0, (0 4 1)
d = 2.124 Å, rel. 16.1, (1 5 0)
d = 1.835 Å, rel. 18.6, (2 2 1)
d = 1.816 Å, rel. 17.4, (1 5 1)